No. 1
Theoretical X-ray diffraction stick pattern
Compound: Ac2TlPt
Radiation: Cu Kα (weighted mean of Kα1 and Kα2)
Structure: the PBE geometry in Alexandria

Top 10 peaks for 2θ = 5–70°, low angle first:
10.39°, I 9; 25.62°, I 58; 31.52°, I 100; 39.60°, I 11; 41.04°, I 43; 49.02°, I 28; 52.65°, I 31; 60.54°, I 11; 65.79°, I 18; 68.84°, I 21

Crystal structure
```
data_Ac2TlPt
_chemical_formula_sum 'Ac2 Tl1 Pt1'
_cell_length_a 4.399
_cell_length_b 4.399
_cell_length_c 8.513
_cell_angle_alpha 90.00
_cell_angle_beta 90.00
_cell_angle_gamma 120.00
_symmetry_space_group_name_H-M 'P 1'
_symmetry_Int_Tables_number 1
_symmetry_space_group_name_Hall 'P 1'
loop_
_atom_site_label
_atom_site_type_symbol
_atom_site_fract_x
_atom_site_fract_y
_atom_site_fract_z
Ac1 Ac 0.333 0.667 0.200
Ac2 Ac 0.667 0.333 0.800
Tl1 Tl 0.000 0.000 0.500
Pt1 Pt 0.000 0.000 0.000
```

=====

No. 2
Theoretical X-ray diffraction stick pattern
Compound: AcTm3Pt
Radiation: Cu Kα (weighted mean of Kα1 and Kα2)
Structure: the PBE geometry in Alexandria

Top 10 peaks for 2θ = 5–70°, low angle first:
16.18°, I 13; 22.97°, I 34; 28.22°, I 66; 32.70°, I 100; 40.34°, I 16; 46.93°, I 74; 55.66°, I 30; 58.37°, I 26; 63.57°, I 9; 68.54°, I 12

Crystal structure
```
data_AcTm3Pt
_chemical_formula_sum 'Ac1 Tm3 Pt1'
_cell_length_a 5.477
_cell_length_b 5.477
_cell_length_c 5.477
_cell_angle_alpha 90.00
_cell_angle_beta 90.00
_cell_angle_gamma 90.00
_symmetry_space_group_name_H-M 'P 1'
_symmetry_Int_Tables_number 1
_symmetry_space_group_name_Hall 'P 1'
loop_
_atom_site_label
_atom_site_type_symbol
_atom_site_fract_x
_atom_site_fract_y
_atom_site_fract_z
Ac1 Ac 0.000 0.000 0.000
Tm1 Tm 0.000 0.500 0.500
Tm2 Tm 0.500 0.000 0.500
Tm3 Tm 0.500 0.500 0.000
Pt1 Pt 0.500 0.500 0.500
```